# NpRhSe
Computed X-ray diffraction stick pattern, λ = 1.5418 Å (Cu Kα). Input: a GGA-PBE-relaxed structure.

Principal peaks in the range 2θ from 10° to 90°, low angle first:
h k l  2θ (°)  I/Imax
1 0 0  30.21  44
1 0 -1  32.03  50
1 0 2  32.34  52
1 1 -1  32.79  51
1 1 2  33.33  39
1 0 -2  35.50  35
0 1 -3  37.01  100
0 1 3  37.45  88
1 1 -3  40.76  32
0 0 6  46.45  35

Crystal structure
Unit cell a=3.339 b=3.444 c=11.815 alpha=87.46 beta=83.11 gamma=63.04
Space group P1 (No. 1)
Inequivalent atoms, fractional coordinates:
Np: 0.000 0.000 0.000 [1 per cell]
Np: 0.065 0.493 0.854 [1 per cell]
Rh: 0.420 0.403 0.178 [1 per cell]
Rh: 0.643 0.878 0.675 [1 per cell]
Se: 0.041 0.064 0.302 [1 per cell]
Se: 0.373 0.528 0.552 [1 per cell]

---

# Np3Si2Rh6
Computed X-ray diffraction stick pattern, λ = 1.5418 Å (Cu Kα). Input: a GGA-PBE-relaxed structure.

Principal peaks in the range 2θ from 10° to 90°, low angle first:
h k l  2θ (°)  I/Imax
2 0 0  19.64  18
2 2 0  27.92  19
3 1 0  31.29  17
2 2 2  34.37  45
3 2 1  37.22  56
4 0 0  39.89  18
3 3 0  42.43  100
6 1 1  63.44  17
6 2 2  68.91  27
7 4 1  87.72  20

Crystal structure
Unit cell a=9.039 b=9.039 c=9.039 alpha=90.00 beta=90.00 gamma=90.00
Space group Im-3m (No. 229)
Inequivalent atoms, fractional coordinates:
Np: 0.000 0.000 0.258 [12 per cell]
Si: 0.250 0.250 0.250 [8 per cell]
Rh: 0.000 0.350 0.350 [24 per cell]

---

# Np3Si6Rh20
Computed X-ray diffraction stick pattern, λ = 1.5418 Å (Cu Kα). Input: a GGA-PBE-relaxed structure.

Principal peaks in the range 2θ from 10° to 90°, low angle first:
h k l  2θ (°)  I/Imax
4 2 0  33.21  23
4 2 2  36.49  58
3 3 3  38.79  100
4 4 0  42.38  41
5 3 1  44.43  14
6 2 0  47.68  13
6 2 2  50.16  13
6 6 0  65.67  34
5 5 5  67.20  17
8 4 4  77.53  27

Crystal structure
Unit cell a=12.064 b=12.064 c=12.064 alpha=90.00 beta=90.00 gamma=90.00
Space group Fm-3m (No. 225)
Inequivalent atoms, fractional coordinates:
Np: 0.000 0.000 0.000 [4 per cell]
Np: 0.250 0.250 0.250 [8 per cell]
Si: 0.000 0.000 0.277 [24 per cell]
Rh: 0.000 0.169 0.169 [48 per cell]
Rh: 0.122 0.122 0.378 [32 per cell]

---

# Np2Si4Rh5
Computed X-ray diffraction stick pattern, λ = 1.5418 Å (Cu Kα). Input: a GGA-PBE-relaxed structure.

Principal peaks in the range 2θ from 10° to 90°, low angle first:
h k l  2θ (°)  I/Imax
1 1 1  19.44  23
1 1 3  26.61  46
0 2 4  31.79  66
2 2 0  37.21  100
0 4 0  37.65  30
1 3 3  37.82  37
2 0 4  41.35  46
1 3 5  46.21  22
2 4 4  57.16  21
2 2 8  66.12  26

Crystal structure
Unit cell a=5.603 b=9.556 c=13.936 alpha=90.00 beta=90.00 gamma=90.00
Space group Fmmm (No. 69)
Inequivalent atoms, fractional coordinates:
Np: 0.000 0.000 0.122 [8 per cell]
Si: 0.000 0.148 0.366 [16 per cell]
Rh: 0.000 0.000 0.500 [4 per cell]
Rh: 0.250 0.250 0.000 [8 per cell]
Rh: 0.250 0.250 0.250 [8 per cell]